1.
MgSbAu2: calculated powder XRD pattern (Cu Kα (λ = 1.5418 Å)), based on a PBE-relaxed structure.
Lines closer than 0.1° are merged.

Crystal structure
```
data_MgSbAu2
_symmetry_space_group_name_H-M 'P 1 m 1'
_symmetry_Int_Tables_number 6
_cell_length_a 3.7080
_cell_length_b 4.2550
_cell_length_c 5.6684
_cell_angle_alpha 90.00
_cell_angle_beta 108.64
_cell_angle_gamma 90.00
loop_
_symmetry_equiv_pos_as_xyz
'x,y,z'
'x,-y,z'
loop_
_atom_site_label
_atom_site_fract_x
_atom_site_fract_y
_atom_site_fract_z
Mg1 0.0000 0.0000 0.0000
Sb1 0.7046 0.5000 0.4155
Au1 0.2625 0.0000 0.5369
Au2 0.4527 0.5000 0.9016
```

Peak list (6 most intense, 15 to 90 degrees two-theta, by angle)
d [Å]	I (rel.)	h k l
3.335	37	0 1 1
2.706	100	1 1 0
2.271	41	0 1 2
2.210	49	1 1 1
2.197	49	1 1 -2
2.127	33	0 2 0

2.
Tb4Pr: calculated powder XRD pattern (Cu Kα (λ = 1.5418 Å)), based on a PBE-relaxed structure.
Lines closer than 0.1° are merged.

Crystal structure
```
data_Tb4Pr
_symmetry_space_group_name_H-M 'C 1 2/m 1'
_symmetry_Int_Tables_number 12
_cell_length_a 6.2191
_cell_length_b 3.5915
_cell_length_c 14.7633
_cell_angle_alpha 90.00
_cell_angle_beta 97.97
_cell_angle_gamma 90.00
loop_
_symmetry_equiv_pos_as_xyz
'x,y,z'
'-x,-y,-z'
'-x,y,-z'
'x,-y,z'
'x+1/2,y+1/2,z'
'-x+1/2,-y+1/2,-z'
'-x+1/2,y+1/2,-z'
'x+1/2,-y+1/2,z'
loop_
_atom_site_label
_atom_site_fract_x
_atom_site_fract_y
_atom_site_fract_z
Tb1 0.0991 0.0000 0.2959
Tb2 0.1994 0.5000 0.0989
Pr1 0.0000 0.5000 0.5000
```

Peak list (6 most intense, 15 to 90 degrees two-theta, by angle)
d [Å]	I (rel.)	h k l
2.929	100	2 0 1
2.537	51	1 1 3
1.795	24	0 2 0
1.792	12	1 1 -7
1.531	25	2 2 1
1.528	18	3 1 -6